Record 1
Structure and calculated X-ray diffraction stick pattern of Mn3P6WO24 (a cell relaxed with PBE+U; Cu Kα (λ = 1.5418 Å)).
Kinematic intensities with the Lorentz-polarization factor, no thermal factor.

Cell and atoms:
Cell: 8.5146 8.5146 21.6209 Å, 90.00 90.00 120.00°
Space group R3 (No. 146, hexagonal axes)
One atom of each set of equivalent atoms:
Mn1 0.0000 0.0000 0.0000 [3 per cell]
Mn2 0.0000 0.0000 0.2149 [3 per cell]
Mn3 0.0000 0.0000 0.5013 [3 per cell]
P1 0.0012 0.2906 0.6046 [9 per cell]
P2 0.0109 0.7272 0.1082 [9 per cell]
W1 0.0000 0.0000 0.7160 [3 per cell]
O1 0.0292 0.8302 0.7656 [9 per cell]
O2 0.0328 0.1926 0.2690 [9 per cell]
O3 0.0366 0.2056 0.5475 [9 per cell]
O4 0.0372 0.8345 0.0484 [9 per cell]
O5 0.1650 0.4711 0.3299 [9 per cell]
O6 0.1676 0.7041 0.8330 [9 per cell]
O7 0.1732 0.4751 0.6122 [9 per cell]
O8 0.1739 0.6992 0.1127 [9 per cell]

Most intense lines, 2θ = 10–90°, by angle:
2θ/deg	d_spacing	I_rel
12.7	6.979	32
14.5	6.092	68
20.4	4.359	100
20.9	4.257	66
24.3	3.666	89
29.3	3.046	69
32.6	2.750	47
36.3	2.477	24
36.6	2.458	23
46.8	1.940	20



Record 2
Structure and calculated X-ray diffraction stick pattern of LiV2P4H2O16 (a cell relaxed with PBE+U; Cu Kα (λ = 1.5418 Å)).
Kinematic intensities with the Lorentz-polarization factor, no thermal factor.

Cell and atoms:
Cell: 7.7462 7.9011 9.7635 Å, 89.60 67.11 89.87°
Space group P1 (No. 1)
One atom of each set of equivalent atoms:
Li1 0.0000 0.0000 0.0000 [1 per cell]
Li2 0.3012 0.2682 0.4472 [1 per cell]
V1 0.1432 0.6461 0.4804 [1 per cell]
V2 0.1535 0.6266 0.9719 [1 per cell]
V3 0.6432 0.1387 0.9732 [1 per cell]
V4 0.6643 0.1323 0.4707 [1 per cell]
P1 0.3866 0.9820 0.2911 [1 per cell]
P2 0.3897 0.9808 0.7909 [1 per cell]
P3 0.4162 0.4849 0.1545 [1 per cell]
P4 0.4180 0.4828 0.6520 [1 per cell]
P5 0.8754 0.7810 0.8009 [1 per cell]
P6 0.8768 0.7804 0.2937 [1 per cell]
P7 0.9175 0.2910 0.6562 [1 per cell]
P8 0.9190 0.2830 0.1518 [1 per cell]
H1 0.1597 0.1258 0.2335 [1 per cell]
H2 0.1635 0.1292 0.7319 [1 per cell]
H3 0.6371 0.6284 0.2142 [1 per cell]
H4 0.6396 0.6278 0.7127 [1 per cell]
O1 0.0077 0.8083 0.1283 [1 per cell]
O2 0.0142 0.7965 0.6288 [1 per cell]
O3 0.0870 0.1727 0.1320 [1 per cell]
O4 0.0965 0.1945 0.6287 [1 per cell]
O5 0.2060 0.0793 0.8163 [1 per cell]
O6 0.2084 0.0894 0.3201 [1 per cell]
O7 0.2879 0.4680 0.3240 [1 per cell]
O8 0.2890 0.4601 0.8172 [1 per cell]
O9 0.3003 0.5783 0.5754 [1 per cell]
O10 0.3020 0.5784 0.0772 [1 per cell]
O11 0.3248 0.8061 0.3667 [1 per cell]
O12 0.3348 0.8066 0.8602 [1 per cell]
O13 0.4654 0.3073 0.0889 [1 per cell]
O14 0.4673 0.3081 0.5717 [1 per cell]
O15 0.4919 0.0803 0.3733 [1 per cell]
O16 0.4990 0.0793 0.8680 [1 per cell]
O17 0.5121 0.9626 0.1265 [1 per cell]
O18 0.5169 0.9739 0.6228 [1 per cell]
O19 0.5953 0.5849 0.1286 [1 per cell]
O20 0.5988 0.5786 0.6259 [1 per cell]
O21 0.6991 0.6876 0.3200 [1 per cell]
O22 0.7027 0.6889 0.8133 [1 per cell]
O23 0.7828 0.2932 0.3218 [1 per cell]
O24 0.7849 0.3087 0.8194 [1 per cell]
O25 0.8014 0.1966 0.5761 [1 per cell]
O26 0.8059 0.1872 0.0735 [1 per cell]
O27 0.8234 0.9636 0.3682 [1 per cell]
O28 0.8408 0.9606 0.8679 [1 per cell]
O29 0.9653 0.4622 0.0912 [1 per cell]
O30 0.9715 0.4677 0.5784 [1 per cell]
O31 0.9974 0.6877 0.8729 [1 per cell]
O32 0.9975 0.6969 0.3725 [1 per cell]

Most intense lines, 2θ = 10–90°, by angle:
2θ/deg	d_spacing	I_rel
16.7	5.296	78
22.5	3.950	19
22.7	3.920	29
22.8	3.897	32
25.1	3.546	100
25.8	3.456	70
29.5	3.030	40
29.6	3.019	63
33.9	2.648	50
53.0	1.728	21